This entry pairs a crystal structure of Cs2KSn2 with its computed X-ray powder pattern. Radiation: Cu Kα X-rays. Structure: a PBE-relaxed structure.

Crystal structure
Unit cell a=9.5555 b=9.5555 c=5.9539 alpha=90.00 beta=90.00 gamma=90.00
Space group P4/mbm (No. 127)
One atom of each set of equivalent atoms:
Cs  0.1827  0.3173  0.0000
K  0.0000  0.0000  0.5000
Sn  0.1011  0.6011  0.5000

Largest 10 diffraction maxima, by intensity, 10 to 90 degrees two-theta:
2θ = 25.66°, d = 3.472 Å, I 100.0, (2 1 1); 2θ = 23.88°, d = 3.726 Å, I 49.5, (2 0 1); 2θ = 13.10°, d = 6.757 Å, I 29.1, (1 1 0); 2θ = 30.02°, d = 2.977 Å, I 25.0, (0 0 2); 2θ = 33.82°, d = 2.650 Å, I 19.0, (3 2 0); 2θ = 38.86°, d = 2.318 Å, I 16.8, (4 1 0); 2θ = 45.84°, d = 1.979 Å, I 16.4, (3 2 2); 2θ = 49.87°, d = 1.829 Å, I 16.4, (4 1 2); 2θ = 51.10°, d = 1.788 Å, I 16.3, (5 1 1); 2θ = 50.72°, d = 1.800 Å, I 15.6, (2 1 3)

---

This entry pairs a crystal structure of Ho8Er3In with its computed X-ray powder pattern. Radiation: Cu Kα X-rays. Structure: a PBE-relaxed structure.

Crystal structure
Unit cell a=25.6149 b=3.4331 c=8.7384 alpha=90.00 beta=102.88 gamma=90.00
Space group Cm (No. 8)
One atom of each set of equivalent atoms:
Ho  0.0000  0.0000  0.0000
Ho  0.0232  0.5000  0.6648
Ho  0.1617  0.5000  0.6770
Ho  0.2037  0.5000  0.3525
Ho  0.3256  0.0000  0.3599
Ho  0.3721  0.0000  0.9850
Ho  0.4072  0.5000  0.6700
Ho  0.4470  0.5000  0.3274
Er  0.0680  0.5000  0.3236
Er  0.1200  0.5000  0.0000
Er  0.2549  0.5000  0.0302
In  0.2863  0.5000  0.6846

Largest 10 diffraction maxima, by intensity, 10 to 90 degrees two-theta:
2θ = 31.52°, d = 2.838 Å, I 100.0, (0 0 3); 2θ = 32.68°, d = 2.740 Å, I 42.8, (8 0 1); 2θ = 63.32°, d = 1.469 Å, I 28.0, (0 2 3); 2θ = 34.65°, d = 2.589 Å, I 25.0, (5 1 1); 2θ = 26.20°, d = 3.401 Å, I 23.8, (1 1 0); 2θ = 28.12°, d = 3.173 Å, I 19.1, (3 1 0); 2θ = 33.76°, d = 2.655 Å, I 18.0, (3 1 -2); 2θ = 40.79°, d = 2.212 Å, I 17.8, (3 1 -3); 2θ = 35.82°, d = 2.507 Å, I 15.1, (5 1 -2); 2θ = 30.89°, d = 2.895 Å, I 14.6, (3 1 1)

---

This entry pairs a crystal structure of HfFeSn3 with its computed X-ray powder pattern. Radiation: Cu Kα X-rays. Structure: a PBE-relaxed structure.

Crystal structure
Unit cell a=4.8658 b=4.8658 c=4.8658 alpha=90.00 beta=90.00 gamma=90.00
Space group Pm-3m (No. 221)
One atom of each set of equivalent atoms:
Hf  0.0000  0.0000  0.0000
Fe  0.5000  0.5000  0.5000
Sn  0.0000  0.5000  0.5000

Largest 10 diffraction maxima, by intensity, 10 to 90 degrees two-theta:
2θ = 31.86°, d = 2.809 Å, I 100.0, (1 1 1); 2θ = 36.95°, d = 2.433 Å, I 78.8, (2 0 0); 2θ = 53.25°, d = 1.720 Å, I 55.7, (2 2 0); 2θ = 63.40°, d = 1.467 Å, I 44.5, (3 1 1); 2θ = 87.36°, d = 1.116 Å, I 20.1, (3 3 1); 2θ = 66.58°, d = 1.405 Å, I 19.2, (2 2 2); 2θ = 25.90°, d = 3.441 Å, I 14.5, (1 1 0); 2θ = 78.65°, d = 1.216 Å, I 9.2, (4 0 0); 2θ = 45.67°, d = 1.986 Å, I 6.0, (2 1 1); 2θ = 72.71°, d = 1.300 Å, I 2.7, (3 2 1)